Entry 1:
Pm3GeS6: simulated XRD peak list (Cu Kα X-rays), based on a structure optimized by DFT (PBE).

Atomic structure:
a b c (Å): 8.728 8.728 6.740
angles (deg): 90.00 90.00 102.52
Element x y z (fractional)
Pm  0.100  0.900  0.500
Pm  0.215  0.414  0.580
Pm  0.414  0.215  0.080
Pm  0.586  0.785  0.580
Pm  0.785  0.586  0.080
Pm  0.900  0.100  0.000
Ge  0.302  0.698  0.122
Ge  0.698  0.302  0.622
S  0.069  0.599  0.298
S  0.135  0.188  0.290
S  0.188  0.135  0.790
S  0.282  0.718  0.756
S  0.401  0.931  0.298
S  0.463  0.537  0.271
S  0.537  0.463  0.771
S  0.599  0.069  0.798
S  0.718  0.282  0.256
S  0.812  0.865  0.290
S  0.865  0.812  0.790
S  0.931  0.401  0.798

Most intense lines, 2θ from 15° to 90°, by angle:
d (Å)  two_theta  I_rel
3.601  24.72  1000
3.559  25.02  540
2.433  36.94  419
2.395  37.56  262
2.181  41.40  362
1.890  48.16  212

=====

Entry 2:
PmGe6S8: simulated XRD peak list (Cu Kα X-rays), based on a structure optimized by DFT (PBE).

Atomic structure:
a b c (Å): 7.352 7.352 7.352
angles (deg): 78.56 78.56 78.56
Element x y z (fractional)
Pm  0.000  0.000  0.000
Ge  0.135  0.599  0.361
Ge  0.361  0.135  0.599
Ge  0.401  0.639  0.865
Ge  0.599  0.361  0.135
Ge  0.639  0.865  0.401
Ge  0.865  0.401  0.639
S  0.136  0.329  0.799
S  0.201  0.864  0.671
S  0.285  0.285  0.285
S  0.329  0.799  0.136
S  0.671  0.201  0.864
S  0.715  0.715  0.715
S  0.799  0.136  0.329
S  0.864  0.671  0.201

Most intense lines, 2θ from 15° to 90°, by angle:
d (Å)  two_theta  I_rel
5.016  17.68  1000
2.824  31.68  867
2.751  32.55  406
2.368  37.99  535
1.758  52.01  453
1.660  55.34  414

=====

Copy entry 1 word for word.
Pm3GeS6: simulated XRD peak list (Cu Kα X-rays), based on a structure optimized by DFT (PBE).

Atomic structure:
a b c (Å): 8.728 8.728 6.740
angles (deg): 90.00 90.00 102.52
Element x y z (fractional)
Pm  0.100  0.900  0.500
Pm  0.215  0.414  0.580
Pm  0.414  0.215  0.080
Pm  0.586  0.785  0.580
Pm  0.785  0.586  0.080
Pm  0.900  0.100  0.000
Ge  0.302  0.698  0.122
Ge  0.698  0.302  0.622
S  0.069  0.599  0.298
S  0.135  0.188  0.290
S  0.188  0.135  0.790
S  0.282  0.718  0.756
S  0.401  0.931  0.298
S  0.463  0.537  0.271
S  0.537  0.463  0.771
S  0.599  0.069  0.798
S  0.718  0.282  0.256
S  0.812  0.865  0.290
S  0.865  0.812  0.790
S  0.931  0.401  0.798

Most intense lines, 2θ from 15° to 90°, by angle:
d (Å)  two_theta  I_rel
3.601  24.72  1000
3.559  25.02  540
2.433  36.94  419
2.395  37.56  262
2.181  41.40  362
1.890  48.16  212